This entry pairs a crystal structure of SrPrCuTe2Se with its theoretical powder X-ray diffraction pattern. Radiation: Cu Ka. Structure: a structure optimized by DFT (GGA-PBE).
Neutral-atom scattering factors, no anomalous dispersion.

Principal peaks in the range 2θ = 10–90°, low angle first:
2θ 27.0, I 69
2θ 27.6, I 100
2θ 28.8, I 73
2θ 32.0, I 94
2θ 32.2, I 27
2θ 32.3, I 56
2θ 40.8, I 82
2θ 41.5, I 50
2θ 44.9, I 35
2θ 50.2, I 25

Cell and atoms:
```
data_SrPrCuTe2Se
_chemical_formula_sum 'Sr2 Pr2 Cu2 Te4 Se2'
_symmetry_space_group_name_H-M 'P 1'
_symmetry_Int_Tables_number 1
_cell_length_a 7.5503
_cell_length_b 7.5503
_cell_length_c 11.1302
_cell_angle_alpha 90.00
_cell_angle_beta 90.00
_cell_angle_gamma 146.52
loop_
_symmetry_equiv_pos_as_xyz
'x,y,z'
loop_
_atom_site_label
_atom_site_fract_x
_atom_site_fract_y
_atom_site_fract_z
Sr1 0.2310 0.7690 0.7500
Sr2 0.7690 0.2310 0.2500
Pr1 0.5000 0.5000 0.0000
Pr2 0.5000 0.5000 0.5000
Cu1 0.0270 0.9730 0.2500
Cu2 0.9730 0.0270 0.7500
Te1 0.1488 0.8512 0.0714
Te2 0.1488 0.8512 0.4286
Te3 0.8512 0.1488 0.5714
Te4 0.8512 0.1488 0.9286
Se1 0.4275 0.5725 0.2500
Se2 0.5725 0.4275 0.7500
```

This entry pairs a crystal structure of Pr3Tl2Cu2Se8 with its theoretical powder X-ray diffraction pattern. Radiation: Cu Ka. Structure: a structure optimized by DFT (GGA-PBE).
Neutral-atom scattering factors, no anomalous dispersion.

Principal peaks in the range 2θ = 10–90°, low angle first:
2θ 12.0, I 32
2θ 28.4, I 31
2θ 28.8, I 36
2θ 29.0, I 41
2θ 29.1, I 100
2θ 30.2, I 65
2θ 30.8, I 34
2θ 34.0, I 36
2θ 39.7, I 34
2θ 43.6, I 43

Cell and atoms:
```
data_Pr3Tl2Cu2Se8
_chemical_formula_sum 'Pr3 Tl2 Cu2 Se8'
_symmetry_space_group_name_H-M 'P 1'
_symmetry_Int_Tables_number 1
_cell_length_a 7.5095
_cell_length_b 7.5095
_cell_length_c 15.6165
_cell_angle_alpha 108.14
_cell_angle_beta 108.14
_cell_angle_gamma 32.08
loop_
_symmetry_equiv_pos_as_xyz
'x,y,z'
loop_
_atom_site_label
_atom_site_fract_x
_atom_site_fract_y
_atom_site_fract_z
Pr1 0.0000 0.0000 0.0000
Pr2 0.1546 0.1546 0.3875
Pr3 0.8454 0.8454 0.6125
Tl1 0.1677 0.1677 0.7908
Tl2 0.8323 0.8323 0.2092
Cu1 0.4517 0.4517 0.8087
Cu2 0.5483 0.5483 0.1913
Se1 0.1433 0.1433 0.1883
Se2 0.1934 0.1934 0.5844
Se3 0.3933 0.3933 0.0664
Se4 0.4977 0.4977 0.3255
Se5 0.5023 0.5023 0.6745
Se6 0.6067 0.6067 0.9336
Se7 0.8066 0.8066 0.4156
Se8 0.8567 0.8567 0.8117
```

This entry pairs a crystal structure of SrPrCuSi3 with its theoretical powder X-ray diffraction pattern. Radiation: Cu Ka. Structure: a structure optimized by DFT (GGA-PBE).
Neutral-atom scattering factors, no anomalous dispersion.

Principal peaks in the range 2θ = 10–90°, low angle first:
2θ 25.0, I 12
2θ 25.2, I 23
2θ 32.3, I 50
2θ 32.4, I 100
2θ 40.8, I 20
2θ 44.2, I 33
2θ 44.5, I 16
2θ 56.0, I 21
2θ 61.7, I 23
2θ 68.9, I 16

Cell and atoms:
```
data_SrPrCuSi3
_chemical_formula_sum 'Sr2 Pr2 Cu2 Si6'
_symmetry_space_group_name_H-M 'P 1'
_symmetry_Int_Tables_number 1
_cell_length_a 8.3804
_cell_length_b 8.1990
_cell_length_c 6.0159
_cell_angle_alpha 70.34
_cell_angle_beta 67.12
_cell_angle_gamma 42.53
loop_
_symmetry_equiv_pos_as_xyz
'x,y,z'
loop_
_atom_site_label
_atom_site_fract_x
_atom_site_fract_y
_atom_site_fract_z
Sr1 0.2500 0.2500 0.2500
Sr2 0.7500 0.7500 0.7500
Pr1 0.2412 0.7588 0.2412
Pr2 0.7588 0.2412 0.7588
Cu1 0.3332 0.3332 0.6668
Cu2 0.6668 0.6668 0.3332
Si1 0.1657 0.1657 0.8343
Si2 0.1724 0.6622 0.8276
Si3 0.3378 0.8276 0.6622
Si4 0.6622 0.1724 0.3378
Si5 0.8276 0.3378 0.1724
Si6 0.8343 0.8343 0.1657
```

This entry pairs a crystal structure of SrPrCuSi3 with its theoretical powder X-ray diffraction pattern. Radiation: Cu Ka. Structure: a structure optimized by DFT (GGA-PBE).
Neutral-atom scattering factors, no anomalous dispersion.

Principal peaks in the range 2θ = 10–90°, low angle first:
2θ 12.5, I 9
2θ 25.1, I 15
2θ 32.2, I 100
2θ 40.3, I 14
2θ 44.1, I 11
2θ 44.3, I 21
2θ 48.1, I 8
2θ 55.7, I 14
2θ 61.5, I 16
2θ 68.2, I 11

Cell and atoms:
```
data_SrPrCuSi3
_chemical_formula_sum 'Sr2 Pr2 Cu2 Si6'
_symmetry_space_group_name_H-M 'P 1'
_symmetry_Int_Tables_number 1
_cell_length_a 8.3628
_cell_length_b 8.1704
_cell_length_c 6.0716
_cell_angle_alpha 70.15
_cell_angle_beta 66.77
_cell_angle_gamma 43.07
loop_
_symmetry_equiv_pos_as_xyz
'x,y,z'
loop_
_atom_site_label
_atom_site_fract_x
_atom_site_fract_y
_atom_site_fract_z
Sr1 0.2461 0.7539 0.2461
Sr2 0.7539 0.2461 0.7539
Pr1 0.2500 0.2500 0.2500
Pr2 0.7500 0.7500 0.7500
Cu1 0.3338 0.3338 0.6662
Cu2 0.6662 0.6662 0.3338
Si1 0.1668 0.6612 0.8332
Si2 0.1706 0.1706 0.8294
Si3 0.3388 0.8332 0.6612
Si4 0.6612 0.1668 0.3388
Si5 0.8294 0.8294 0.1706
Si6 0.8332 0.3388 0.1668
```

This entry pairs a crystal structure of Pr2SmCu4Sn4 with its theoretical powder X-ray diffraction pattern. Radiation: Cu Ka. Structure: a structure optimized by DFT (GGA-PBE).
Neutral-atom scattering factors, no anomalous dispersion.

Principal peaks in the range 2θ = 10–90°, low angle first:
2θ 32.4, I 27
2θ 32.8, I 99
2θ 33.4, I 100
2θ 35.8, I 19
2θ 39.4, I 46
2θ 42.8, I 23
2θ 44.4, I 27
2θ 59.6, I 21
2θ 67.3, I 19
2θ 75.6, I 20

Cell and atoms:
```
data_Pr2SmCu4Sn4
_chemical_formula_sum 'Pr2 Sm1 Cu4 Sn4'
_symmetry_space_group_name_H-M 'P 1'
_symmetry_Int_Tables_number 1
_cell_length_a 8.5961
_cell_length_b 8.5961
_cell_length_c 8.5961
_cell_angle_alpha 149.13
_cell_angle_beta 132.07
_cell_angle_gamma 58.10
loop_
_symmetry_equiv_pos_as_xyz
'x,y,z'
loop_
_atom_site_label
_atom_site_fract_x
_atom_site_fract_y
_atom_site_fract_z
Pr1 0.1324 0.1324 0.0000
Pr2 0.8676 0.8676 0.0000
Sm1 0.5000 0.0000 0.5000
Cu1 0.1474 0.3314 0.8159
Cu2 0.4845 0.6686 0.8159
Cu3 0.5155 0.3314 0.1841
Cu4 0.8526 0.6686 0.1841
Sn1 0.2032 0.5000 0.7032
Sn2 0.2842 0.7842 0.5000
Sn3 0.7158 0.2158 0.5000
Sn4 0.7968 0.5000 0.2968
```

This entry pairs a crystal structure of PrY2Cu4Sn4 with its theoretical powder X-ray diffraction pattern. Radiation: Cu Ka. Structure: a structure optimized by DFT (GGA-PBE).
Neutral-atom scattering factors, no anomalous dispersion.

Principal peaks in the range 2θ = 10–90°, low angle first:
2θ 32.9, I 100
2θ 33.9, I 76
2θ 36.5, I 18
2θ 40.3, I 37
2θ 42.6, I 20
2θ 44.8, I 37
2θ 45.2, I 15
2θ 60.0, I 18
2θ 69.2, I 11
2θ 75.0, I 14

Cell and atoms:
```
data_PrY2Cu4Sn4
_chemical_formula_sum 'Pr1 Y2 Cu4 Sn4'
_symmetry_space_group_name_H-M 'P 1'
_symmetry_Int_Tables_number 1
_cell_length_a 8.4938
_cell_length_b 8.4938
_cell_length_c 8.4938
_cell_angle_alpha 149.46
_cell_angle_beta 130.86
_cell_angle_gamma 58.97
loop_
_symmetry_equiv_pos_as_xyz
'x,y,z'
loop_
_atom_site_label
_atom_site_fract_x
_atom_site_fract_y
_atom_site_fract_z
Pr1 0.0000 0.0000 0.0000
Y1 0.3688 0.8688 0.5000
Y2 0.6312 0.1312 0.5000
Cu1 0.0166 0.3294 0.6872
Cu2 0.3578 0.6706 0.6872
Cu3 0.6422 0.3294 0.3128
Cu4 0.9834 0.6706 0.3128
Sn1 0.2185 0.2185 0.0000
Sn2 0.3020 0.5000 0.8020
Sn3 0.6980 0.5000 0.1980
Sn4 0.7815 0.7815 0.0000
```

This entry pairs a crystal structure of CuPt6 with its theoretical powder X-ray diffraction pattern. Radiation: Cu Ka. Structure: a structure optimized by DFT (GGA-PBE).
Neutral-atom scattering factors, no anomalous dispersion.

Principal peaks in the range 2θ = 10–90°, low angle first:
2θ 23.1, I 21
2θ 32.8, I 17
2θ 40.5, I 100
2θ 47.1, I 49
2θ 53.1, I 9
2θ 58.6, I 7
2θ 68.8, I 32
2θ 73.7, I 5
2θ 83.0, I 39
2θ 87.6, I 12

Cell and atoms:
```
data_CuPt6
_chemical_formula_sum 'Cu1 Pt6'
_symmetry_space_group_name_H-M 'P 1'
_symmetry_Int_Tables_number 1
_cell_length_a 5.4548
_cell_length_b 5.4548
_cell_length_c 5.4548
_cell_angle_alpha 60.00
_cell_angle_beta 60.00
_cell_angle_gamma 60.00
loop_
_symmetry_equiv_pos_as_xyz
'x,y,z'
loop_
_atom_site_label
_atom_site_fract_x
_atom_site_fract_y
_atom_site_fract_z
Cu1 0.0000 0.0000 0.0000
Pt1 0.0000 0.0000 0.5000
Pt2 0.0000 0.5000 0.0000
Pt3 0.0000 0.5000 0.5000
Pt4 0.5000 0.0000 0.0000
Pt5 0.5000 0.0000 0.5000
Pt6 0.5000 0.5000 0.0000
```

This entry pairs a crystal structure of Cu7Pt2 with its theoretical powder X-ray diffraction pattern. Radiation: Cu Ka. Structure: a structure optimized by DFT (GGA-PBE).
Neutral-atom scattering factors, no anomalous dispersion.

Principal peaks in the range 2θ = 10–90°, low angle first:
2θ 21.5, I 24
2θ 23.2, I 30
2θ 31.5, I 21
2θ 37.1, I 50
2θ 38.8, I 76
2θ 44.0, I 86
2θ 44.5, I 100
2θ 44.8, I 27
2θ 45.5, I 30
2θ 49.7, I 22

Cell and atoms:
```
data_Cu7Pt2
_chemical_formula_sum 'Cu14 Pt4'
_symmetry_space_group_name_H-M 'P 1'
_symmetry_Int_Tables_number 1
_cell_length_a 4.7323
_cell_length_b 4.7323
_cell_length_c 11.9621
_cell_angle_alpha 90.00
_cell_angle_beta 90.00
_cell_angle_gamma 58.70
loop_
_symmetry_equiv_pos_as_xyz
'x,y,z'
loop_
_atom_site_label
_atom_site_fract_x
_atom_site_fract_y
_atom_site_fract_z
Cu1 0.0529 0.6400 0.5712
Cu2 0.0529 0.6400 0.9288
Cu3 0.2001 0.7999 0.7500
Cu4 0.2069 0.2959 0.7500
Cu5 0.2959 0.2069 0.2500
Cu6 0.3600 0.9471 0.5712
Cu7 0.3600 0.9471 0.9288
Cu8 0.6400 0.0529 0.0712
Cu9 0.6400 0.0529 0.4288
Cu10 0.7041 0.7931 0.7500
Cu11 0.7931 0.7041 0.2500
Cu12 0.7999 0.2001 0.2500
Cu13 0.9471 0.3600 0.0712
Cu14 0.9471 0.3600 0.4288
Pt1 0.2950 0.7050 0.1283
Pt2 0.2950 0.7050 0.3717
Pt3 0.7050 0.2950 0.6283
Pt4 0.7050 0.2950 0.8717
```

This entry pairs a crystal structure of TlCuPtSe2S with its theoretical powder X-ray diffraction pattern. Radiation: Cu Ka. Structure: a structure optimized by DFT (GGA-PBE).
Neutral-atom scattering factors, no anomalous dispersion.

Principal peaks in the range 2θ = 10–90°, low angle first:
2θ 21.9, I 100
2θ 29.7, I 41
2θ 31.7, I 95
2θ 32.8, I 56
2θ 33.8, I 72
2θ 35.3, I 30
2θ 46.5, I 39
2θ 47.0, I 56
2θ 47.5, I 31
2θ 59.6, I 35

Cell and atoms:
```
data_TlCuPtSe2S
_chemical_formula_sum 'Tl2 Cu2 Pt2 Se4 S2'
_symmetry_space_group_name_H-M 'P 1'
_symmetry_Int_Tables_number 1
_cell_length_a 6.5623
_cell_length_b 6.5623
_cell_length_c 10.6148
_cell_angle_alpha 90.00
_cell_angle_beta 90.00
_cell_angle_gamma 146.09
loop_
_symmetry_equiv_pos_as_xyz
'x,y,z'
loop_
_atom_site_label
_atom_site_fract_x
_atom_site_fract_y
_atom_site_fract_z
Tl1 0.2193 0.7807 0.7500
Tl2 0.7807 0.2193 0.2500
Cu1 0.0885 0.9115 0.2500
Cu2 0.9115 0.0885 0.7500
Pt1 0.5000 0.5000 0.0000
Pt2 0.5000 0.5000 0.5000
Se1 0.1295 0.8705 0.0265
Se2 0.1295 0.8705 0.4735
Se3 0.8705 0.1295 0.5265
Se4 0.8705 0.1295 0.9735
S1 0.4845 0.5155 0.2500
S2 0.5155 0.4845 0.7500
```

This entry pairs a crystal structure of TlCu3PtS4 with its theoretical powder X-ray diffraction pattern. Radiation: Cu Ka. Structure: a structure optimized by DFT (GGA-PBE).
Neutral-atom scattering factors, no anomalous dispersion.

Principal peaks in the range 2θ = 10–90°, low angle first:
2θ 21.9, I 100
2θ 26.9, I 26
2θ 31.2, I 44
2θ 38.4, I 48
2θ 44.7, I 79
2θ 50.3, I 22
2θ 60.4, I 27
2θ 73.9, I 16
2θ 82.3, I 25
2θ 86.5, I 16

Cell and atoms:
```
data_TlCu3PtS4
_chemical_formula_sum 'Tl1 Cu3 Pt1 S4'
_symmetry_space_group_name_H-M 'P 1'
_symmetry_Int_Tables_number 1
_cell_length_a 5.7381
_cell_length_b 5.7381
_cell_length_c 5.7381
_cell_angle_alpha 90.00
_cell_angle_beta 90.00
_cell_angle_gamma 90.00
loop_
_symmetry_equiv_pos_as_xyz
'x,y,z'
loop_
_atom_site_label
_atom_site_fract_x
_atom_site_fract_y
_atom_site_fract_z
Tl1 0.0000 0.0000 0.0000
Cu1 0.0000 0.5000 0.5000
Cu2 0.5000 0.0000 0.5000
Cu3 0.5000 0.5000 0.0000
Pt1 0.5000 0.5000 0.5000
S1 0.2645 0.2645 0.2645
S2 0.2645 0.7355 0.7355
S3 0.7355 0.2645 0.7355
S4 0.7355 0.7355 0.2645
```

This entry pairs a crystal structure of CuSbPtSe3 with its theoretical powder X-ray diffraction pattern. Radiation: Cu Ka. Structure: a structure optimized by DFT (GGA-PBE).
Neutral-atom scattering factors, no anomalous dispersion.

Principal peaks in the range 2θ = 10–90°, low angle first:
2θ 13.3, I 53
2θ 26.7, I 74
2θ 28.3, I 100
2θ 29.1, I 56
2θ 31.4, I 28
2θ 32.2, I 36
2θ 34.9, I 21
2θ 40.7, I 39
2θ 45.1, I 38
2θ 47.0, I 85

Cell and atoms:
```
data_CuSbPtSe3
_chemical_formula_sum 'Cu4 Sb4 Pt4 Se12'
_symmetry_space_group_name_H-M 'P 1'
_symmetry_Int_Tables_number 1
_cell_length_a 5.0779
_cell_length_b 8.0406
_cell_length_c 13.2914
_cell_angle_alpha 90.00
_cell_angle_beta 90.00
_cell_angle_gamma 90.00
loop_
_symmetry_equiv_pos_as_xyz
'x,y,z'
loop_
_atom_site_label
_atom_site_fract_x
_atom_site_fract_y
_atom_site_fract_z
Cu1 0.0373 0.1115 0.4452
Cu2 0.4627 0.8885 0.9452
Cu3 0.5373 0.3885 0.5548
Cu4 0.9627 0.6115 0.0548
Sb1 0.1058 0.1262 0.1416
Sb2 0.3942 0.8738 0.6416
Sb3 0.6058 0.3738 0.8584
Sb4 0.8942 0.6262 0.3584
Pt1 0.0148 0.6416 0.7469
Pt2 0.4852 0.3584 0.2469
Pt3 0.5148 0.8584 0.2531
Pt4 0.9852 0.1416 0.7531
Se1 0.2391 0.1439 0.9150
Se2 0.2465 0.6301 0.9113
Se3 0.2492 0.6150 0.2012
Se4 0.2508 0.3850 0.7012
Se5 0.2535 0.3699 0.4113
Se6 0.2609 0.8561 0.4150
Se7 0.7391 0.3561 0.0850
Se8 0.7465 0.8699 0.0887
Se9 0.7492 0.8850 0.7988
Se10 0.7508 0.1150 0.2988
Se11 0.7535 0.1301 0.5887
Se12 0.7609 0.6439 0.5850
```

This entry pairs a crystal structure of Cu2PtSe3 with its theoretical powder X-ray diffraction pattern. Radiation: Cu Ka. Structure: a structure optimized by DFT (GGA-PBE).
Neutral-atom scattering factors, no anomalous dispersion.

Principal peaks in the range 2θ = 10–90°, low angle first:
2θ 15.9, I 20
2θ 20.5, I 16
2θ 27.5, I 46
2θ 27.8, I 100
2θ 28.1, I 52
2θ 45.6, I 48
2θ 46.3, I 47
2θ 46.7, I 44
2θ 53.9, I 14
2θ 54.9, I 17

Cell and atoms:
```
data_Cu2PtSe3
_chemical_formula_sum 'Cu4 Pt2 Se6'
_symmetry_space_group_name_H-M 'P 1'
_symmetry_Int_Tables_number 1
_cell_length_a 6.7633
_cell_length_b 6.7633
_cell_length_c 6.9452
_cell_angle_alpha 100.43
_cell_angle_beta 100.43
_cell_angle_gamma 119.52
loop_
_symmetry_equiv_pos_as_xyz
'x,y,z'
loop_
_atom_site_label
_atom_site_fract_x
_atom_site_fract_y
_atom_site_fract_z
Cu1 0.0855 0.9145 0.5000
Cu2 0.2513 0.7580 0.9966
Cu3 0.7580 0.2513 0.4966
Cu4 0.9145 0.0855 0.0000
Pt1 0.4097 0.6014 0.5149
Pt2 0.6014 0.4097 0.0149
Se1 0.0397 0.2015 0.3705
Se2 0.2015 0.0397 0.8705
Se3 0.3751 0.8848 0.3665
Se4 0.5449 0.7016 0.8866
Se5 0.7016 0.5449 0.3866
Se6 0.8848 0.3751 0.8665
```

- Number 10 is which compound?
  TlCu3PtS4

- Which formula does entry 4 have?
  SrPrCuSi3

- What is the formula in the sixth record?
  PrY2Cu4Sn4